Calculated X-ray diffraction stick pattern
Compound: BaMo4O7
Radiation: Cu Kα X-rays
Structure: a crystal structure in Alexandria, relaxed with GGA+U
No peak broadening, texture or thermal motion is included.

```
BaMo4O7
1.0
6.621 0.000 0.000
-3.310 5.734 0.000
0.000 0.000 11.276
Ba Mo O
2 8 14
Cartesian
0.000 3.822 0.000
3.310 1.911 5.638
0.000 0.000 5.093
0.000 0.000 10.731
0.000 2.254 8.022
-1.358 4.607 8.022
1.952 1.127 2.384
1.358 4.607 8.022
4.668 1.127 2.384
3.310 3.479 2.384
0.000 0.000 3.140
0.000 0.000 8.779
-1.491 2.962 9.159
0.000 1.664 6.132
-1.869 4.901 6.132
1.441 0.832 0.494
1.491 2.962 9.159
0.000 5.544 9.159
3.310 0.190 3.521
1.820 2.772 3.521
1.869 4.901 6.132
5.179 0.832 0.494
3.310 4.069 0.494
4.801 2.772 3.521
```

Principal peaks in the range 2θ = 10–90°, by angle:
2θ = 17.4°, I 100
2θ = 28.4°, I 54
2θ = 31.3°, I 74
2θ = 31.7°, I 31
2θ = 32.2°, I 87
2θ = 35.1°, I 24
2θ = 50.4°, I 27
2θ = 51.6°, I 28
2θ = 53.3°, I 24
2θ = 55.5°, I 24